Record 1
Starting from a crystal structure in Alexandria, relaxed with PBE, the XRD peak list of LaYFe2 was calculated for λ = 1.5418 Å (Cu Kα).

Principal peaks in the range 2θ from 10° to 80°, sorted by position:
hkl 0 1 1, 28.6 deg, I 37
hkl 1 1 0, 31.9 deg, I 100
hkl 1 0 1, 33.2 deg, I 82
hkl 1 1 -2, 40.6 deg, I 35
hkl 2 0 -1, 41.3 deg, I 32
hkl 0 1 2, 42.0 deg, I 25
hkl 0 2 0, 46.4 deg, I 22
hkl 2 1 -2, 51.0 deg, I 15
hkl 1 2 1, 58.2 deg, I 31
hkl 2 2 -1, 63.8 deg, I 17

Crystal structure
Cell: 4.3744 3.9139 5.5918 Å, 90.00 112.91 90.00°
Space group Pm (No. 6)
Unique sites:
La (0.0000, 0.0000, 0.0000)
Y (0.2897, 0.5000, 0.5787)
Fe (0.6124, 0.5000, 0.2242)
Fe (0.7003, 0.0000, 0.3988)



Record 2
Starting from a crystal structure in Alexandria, relaxed with PBE, the XRD peak list of Cs2K3Na9 was calculated for λ = 1.5418 Å (Cu Kα).

Principal peaks in the range 2θ from 10° to 80°, sorted by position:
hkl 0 2 1, 16.3 deg, I 35
hkl 3 1 1, 16.6 deg, I 68
hkl 0 2 2, 20.5 deg, I 30
hkl 3 1 2, 20.7 deg, I 39
hkl 4 0 2, 22.6 deg, I 51
hkl 3 3 0, 25.7 deg, I 75
hkl 6 0 0, 26.3 deg, I 100
hkl 1 3 2, 26.7 deg, I 43
hkl 7 1 0, 31.6 deg, I 38
hkl 7 3 2, 40.9 deg, I 43

Crystal structure
Cell: 20.3743 12.1191 12.4170 Å, 90.00 90.00 90.00°
Space group Cmcm (No. 63)
Unique sites:
Cs (0.1480, 0.1729, 0.2500)
K (0.0000, 0.0000, 0.0000)
K (0.2009, 0.5000, 0.0000)
Na (0.0000, 0.1982, 0.7500)
Na (0.0000, 0.3540, 0.0163)
Na (0.0844, 0.4597, 0.7500)
Na (0.1553, 0.1986, 0.6069)



Record 3
Starting from a crystal structure in Alexandria, relaxed with PBE, the XRD peak list of Nb3SnH was calculated for λ = 1.5418 Å (Cu Kα).

Principal peaks in the range 2θ from 10° to 80°, sorted by position:
hkl 0 2 2, 33.2 deg, I 43
hkl 2 0 0, 33.3 deg, I 22
hkl 1 2 2, 37.3 deg, I 96
hkl 2 1 1, 37.4 deg, I 49
hkl 1 3 1, 41.0 deg, I 100
hkl 2 0 2, 41.1 deg, I 47
hkl 0 1 5, 62.1 deg, I 15
hkl 2 2 4, 64.7 deg, I 38
hkl 3 3 1, 64.8 deg, I 26
hkl 0 4 4, 69.7 deg, I 17

Crystal structure
Cell: 5.3735 7.6410 7.6207 Å, 90.00 90.00 90.00°
Space group Ama2 (No. 40)
Unique sites:
Nb (0.0000, 0.0000, 0.0000)
Nb (0.2500, 0.1177, 0.3636)
Nb (0.2500, 0.3724, 0.1108)
Sn (0.2500, 0.2471, 0.7411)
H (0.2500, 0.3732, 0.3660)



Record 4
Starting from a crystal structure in Alexandria, relaxed with PBE, the XRD peak list of Ac3Ga4Sn was calculated for λ = 1.5418 Å (Cu Kα).

Principal peaks in the range 2θ from 10° to 80°, sorted by position:
hkl 0 1 3, 21.6 deg, I 31
hkl 1 1 2, 25.7 deg, I 100
hkl 1 1 4, 32.2 deg, I 22
hkl 1 0 5, 33.4 deg, I 31
hkl 1 2 1, 34.1 deg, I 20
hkl 0 2 4, 35.8 deg, I 18
hkl 2 0 0, 37.4 deg, I 25
hkl 1 2 3, 37.7 deg, I 18
hkl 1 3 2, 48.0 deg, I 19
hkl 1 3 8, 66.7 deg, I 22

Crystal structure
Cell: 4.8068 6.4014 16.1369 Å, 90.00 90.00 90.00°
Space group Immm (No. 71)
Unique sites:
Ac (0.0000, 0.0000, 0.0000)
Ac (0.0000, 0.5000, 0.1902)
Ga (0.0000, 0.3029, 0.3749)
Sn (0.0000, 0.0000, 0.5000)



Record 5
Starting from a crystal structure in Alexandria, relaxed with PBE, the XRD peak list of NbSn6OF15 was calculated for λ = 1.5418 Å (Cu Kα).

Principal peaks in the range 2θ from 10° to 80°, sorted by position:
hkl 3 1 -1, 19.1 deg, I 36
hkl 3 1 -2, 23.4 deg, I 91
hkl 2 2 0, 24.1 deg, I 29
hkl 4 0 2, 24.5 deg, I 100
hkl 2 2 1, 25.5 deg, I 88
hkl 5 1 -1, 26.4 deg, I 51
hkl 1 1 -3, 26.6 deg, I 50
hkl 3 3 -2, 39.8 deg, I 23
hkl 6 0 -4, 41.8 deg, I 30
hkl 6 2 3, 43.8 deg, I 40

Crystal structure
Cell: 19.5379 7.9716 11.2381 Å, 90.00 91.83 90.00°
Space group Cc (No. 9)
Unique sites:
Nb (0.0000, 0.1650, 0.0000)
Sn (0.0823, 0.3146, 0.3354)
Sn (0.1537, 0.0969, 0.7128)
Sn (0.2087, 0.4212, 0.0647)
Sn (0.2939, 0.0702, 0.4369)
Sn (0.3457, 0.3970, 0.7882)
Sn (0.4229, 0.1893, 0.1753)
O (0.4441, 0.3261, 0.3704)
F (0.0521, 0.0372, 0.4537)
F (0.0702, 0.1381, 0.1567)
F (0.0732, 0.3075, 0.9390)
F (0.1425, 0.4737, 0.2290)
F (0.1485, 0.3692, 0.4955)
F (0.1684, 0.1381, 0.3175)
F (0.2192, 0.0103, 0.0896)
F (0.2444, 0.1382, 0.8421)
F (0.2631, 0.3665, 0.6546)
F (0.2805, 0.4955, 0.4122)
F (0.3344, 0.3517, 0.2051)
F (0.3544, 0.1325, 0.0149)
F (0.3663, 0.0176, 0.2775)
F (0.4412, 0.4838, 0.5952)
F (0.4644, 0.1449, 0.5900)



Record 6
Starting from a crystal structure in Alexandria, relaxed with PBE, the XRD peak list of ErPu2Ge2 was calculated for λ = 1.5418 Å (Cu Kα).

Principal peaks in the range 2θ from 10° to 80°, sorted by position:
hkl 1 1 -1, 24.5 deg, I 35
hkl 1 0 -3, 32.4 deg, I 38
hkl 2 0 -1, 33.5 deg, I 35
hkl 0 2 0, 34.2 deg, I 62
hkl 1 1 2, 35.7 deg, I 100
hkl 1 1 -3, 36.7 deg, I 58
hkl 2 1 -1, 37.8 deg, I 24
hkl 1 2 -3, 47.8 deg, I 27
hkl 2 2 -1, 48.7 deg, I 25
hkl 1 3 2, 62.2 deg, I 20

Crystal structure
Cell: 5.3485 5.2410 8.6068 Å, 90.00 105.70 90.00°
Space group P2_1/m (No. 11)
Unique sites:
Er (0.1725, 0.2500, 0.2846)
Pu (0.3459, 0.2500, 0.6699)
Pu (0.3691, 0.7500, 0.9321)
Ge (0.0449, 0.2500, 0.9053)
Ge (0.2485, 0.7500, 0.5296)



> Which formula does entry 3 have?

Nb3SnH



> Number 3 is which compound?

Nb3SnH